# 1
VWO4: computed X-ray diffraction stick pattern (Cu Kα), based on the PBE+U geometry in the Materials Project.
Intensities are scaled so that the largest is 100.

Atomic structure:
```
data_VWO4
_chemical_formula_sum 'V4 W4 O16'
_space_group_name_H-M_alt 'P 1 c 1'
_space_group_IT_number 7
_space_group_name_Hall 'P -2yc'
_cell_length_a 4.5799
_cell_length_b 4.9115
_cell_length_c 12.8277
_cell_angle_alpha 90.00
_cell_angle_beta 110.92
_cell_angle_gamma 90.00
loop_
_atom_site_label
_atom_site_type_symbol
_atom_site_fract_x
_atom_site_fract_y
_atom_site_fract_z
V1 V 0.0000 0.0007 0.0000
V2 V 0.1275 0.4991 0.1272
W1 W 0.3884 0.4977 0.3885
W2 W 0.7396 0.0019 0.7398
O1 O 0.0266 0.3208 0.7565
O2 O 0.1005 0.1816 0.3712
O3 O 0.2464 0.3396 0.0025
O4 O 0.3696 0.1603 0.6246
O5 O 0.4857 0.3172 0.2560
O6 O 0.6410 0.1839 0.8715
O7 O 0.7589 0.3397 0.5026
O8 O 0.8789 0.1574 0.1247
```

Main lines, sorted by position (10 to 90 degrees two-theta):
Position (°2θ)	I/Imax	h k l
14.79	16	0 0 2
23.42	28	0 1 2
27.65	100	1 1 0
29.68	47	1 0 -4
35.09	30	0 1 4
36.59	14	0 2 0
47.80	28	1 2 2
53.73	29	2 1 2
54.81	15	2 2 -2
60.76	13	1 1 6

***

# 2
YVW2O8: computed X-ray diffraction stick pattern (Cu Kα), based on the PBE+U geometry in the Materials Project.
Intensities are scaled so that the largest is 100.

Atomic structure:
```
data_YVW2O8
_chemical_formula_sum 'Y1 V1 W2 O8'
_space_group_name_H-M_alt 'P 1'
_space_group_IT_number 1
_space_group_name_Hall 'P 1'
_cell_length_a 5.1548
_cell_length_b 5.7492
_cell_length_c 5.9708
_cell_angle_alpha 106.87
_cell_angle_beta 91.47
_cell_angle_gamma 108.22
loop_
_atom_site_label
_atom_site_type_symbol
_atom_site_fract_x
_atom_site_fract_y
_atom_site_fract_z
Y1 Y 0.0000 0.0000 0.0000
V1 V 0.4965 0.0006 0.5252
W1 W 0.2413 0.4886 0.6848
W2 W 0.7493 0.5192 0.3577
O1 O 0.1384 0.6881 0.4712
O2 O 0.2259 0.7235 0.9630
O3 O 0.2691 0.1950 0.7782
O4 O 0.3662 0.2871 0.3589
O5 O 0.6514 0.7335 0.6833
O6 O 0.7215 0.7842 0.2515
O7 O 0.7884 0.2919 0.0874
O8 O 0.8472 0.3072 0.5620
```

Main lines, sorted by position (10 to 90 degrees two-theta):
Position (°2θ)	I/Imax	h k l
15.64	41	0 0 1
17.10	65	0 1 0
19.23	40	0 1 -1
25.64	100	1 0 1
27.67	71	-1 1 1
29.16	73	1 1 -1
33.00	56	1 -2 1
34.58	54	0 2 0
35.17	52	2 -1 0
46.29	32	2 1 0

***

# 3
YVW2O8: computed X-ray diffraction stick pattern (Cu Kα), based on the PBE+U geometry in the Materials Project.
Intensities are scaled so that the largest is 100.

Atomic structure:
```
data_YVW2O8
_chemical_formula_sum 'Y2 V2 W4 O16'
_space_group_name_H-M_alt 'P 1 2/c 1'
_space_group_IT_number 13
_space_group_name_Hall '-P 2yc'
_cell_length_a 5.3162
_cell_length_b 5.7814
_cell_length_c 10.8861
_cell_angle_alpha 90.00
_cell_angle_beta 116.32
_cell_angle_gamma 90.00
loop_
_atom_site_label
_atom_site_type_symbol
_atom_site_fract_x
_atom_site_fract_y
_atom_site_fract_z
Y1 Y 0.0000 0.1647 0.2500
V1 V 0.5000 0.1647 0.7500
W1 W 0.2442 0.3418 0.9968
O1 O 0.1767 0.3954 0.6140
O2 O 0.2486 0.1143 0.1241
O3 O 0.2860 0.1423 0.8587
O4 O 0.3243 0.3853 0.4031
```

Main lines, sorted by position (10 to 90 degrees two-theta):
Position (°2θ)	I/Imax	h k l
18.18	43	0 0 2
22.74	36	1 1 -1
23.86	75	0 1 2
28.72	100	1 1 1
29.80	90	1 1 -3
33.76	36	2 0 -2
35.35	50	1 2 -1
50.95	31	0 3 2
51.31	27	1 2 3
52.65	28	1 2 -5

***

# 4
YVO3: computed X-ray diffraction stick pattern (Cu Kα), based on the PBE+U geometry in the Materials Project.
Intensities are scaled so that the largest is 100.

Atomic structure:
```
data_YVO3
_chemical_formula_sum 'Y4 V4 O12'
_space_group_name_H-M_alt 'P n m a'
_space_group_IT_number 62
_space_group_name_Hall '-P 2ac 2n'
_cell_length_a 5.6609
_cell_length_b 7.7163
_cell_length_c 5.3593
_cell_angle_alpha 90.00
_cell_angle_beta 90.00
_cell_angle_gamma 90.00
loop_
_atom_site_label
_atom_site_type_symbol
_atom_site_fract_x
_atom_site_fract_y
_atom_site_fract_z
Y1 Y 0.0700 0.2500 0.0221
V1 V 0.0000 0.0000 0.5000
O1 O 0.0425 0.7500 0.3822
O2 O 0.1996 0.5594 0.8130
```

Main lines, sorted by position (10 to 90 degrees two-theta):
Position (°2θ)	I/Imax	h k l
25.64	19	1 1 1
31.61	18	2 0 0
32.68	100	1 2 1
33.44	23	0 0 2
46.68	20	2 0 2
47.11	16	0 4 0
48.23	12	2 1 2
52.78	17	3 1 1
59.00	12	0 4 2
59.30	24	1 2 3

***

# 5
YV3O9: computed X-ray diffraction stick pattern (Cu Kα), based on the PBE+U geometry in the Materials Project.
Intensities are scaled so that the largest is 100.

Atomic structure:
```
data_YV3O9
_chemical_formula_sum 'Y4 V12 O36'
_space_group_name_H-M_alt 'P 1 c 1'
_space_group_IT_number 7
_space_group_name_Hall 'P -2yc'
_cell_length_a 8.1632
_cell_length_b 5.1375
_cell_length_c 15.6565
_cell_angle_alpha 90.00
_cell_angle_beta 90.19
_cell_angle_gamma 90.00
loop_
_atom_site_label
_atom_site_type_symbol
_atom_site_fract_x
_atom_site_fract_y
_atom_site_fract_z
Y1 Y 0.0000 0.2427 0.0000
Y2 Y 0.4827 0.2570 0.3249
V1 V 0.1949 0.2798 0.8247
V2 V 0.2056 0.2503 0.1671
V3 V 0.2935 0.2343 0.5021
V4 V 0.7023 0.2355 0.1597
V5 V 0.7272 0.2438 0.8236
V6 V 0.7598 0.2557 0.4982
O1 O 0.0106 0.3436 0.1564
O2 O 0.2002 0.0229 0.0756
O3 O 0.2075 0.0759 0.9164
O4 O 0.2092 0.0073 0.7482
O5 O 0.2763 0.4237 0.4027
O6 O 0.2770 0.4868 0.5738
O7 O 0.2962 0.4857 0.2438
O8 O 0.4924 0.1444 0.4920
O9 O 0.5039 0.1526 0.1680
O10 O 0.5181 0.1852 0.8298
O11 O 0.6931 0.4200 0.4036
O12 O 0.7040 0.4705 0.2457
O13 O 0.7100 0.4888 0.5759
O14 O 0.7751 0.0128 0.7465
O15 O 0.7921 0.0310 0.0770
O16 O 0.7950 0.0803 0.9189
O17 O 0.9694 0.3139 0.4916
O18 O 0.9979 0.3634 0.8296
```

Main lines, sorted by position (10 to 90 degrees two-theta):
Position (°2θ)	I/Imax	h k l
15.68	53	1 0 -2
21.21	75	1 1 -1
24.31	36	0 1 3
28.52	21	2 1 1
32.86	100	2 1 -3
34.37	24	0 0 6
34.92	31	0 2 0
44.39	23	4 0 0
49.81	53	0 2 6
61.33	23	2 3 -3

***

# 6
YV2O2: computed X-ray diffraction stick pattern (Cu Kα), based on the PBE+U geometry in the Materials Project.
Intensities are scaled so that the largest is 100.

Atomic structure:
```
data_YV2O2
_chemical_formula_sum 'Y8 V16 O16'
_space_group_name_H-M_alt 'I 41/a m d'
_space_group_IT_number 141
_cell_length_a 9.1135
_cell_length_b 9.1135
_cell_length_c 8.7716
_cell_angle_alpha 90.00
_cell_angle_beta 90.00
_cell_angle_gamma 90.00
loop_
_space_group_symop_operation_xyz
'x,y,z'
'-x,-y,-z'
'-y+1/4,x+3/4,z+1/4'
'y+1/4,-x+3/4,-z+1/4'
'-x+1/2,-y,z+1/2'
'x+1/2,y,-z+1/2'
'y+1/4,-x+1/4,z+3/4'
'-y+1/4,x+1/4,-z+3/4'
'x,-y,-z'
'-x,y,z'
'-y+1/4,-x+1/4,-z+3/4'
'y+1/4,x+1/4,z+3/4'
'-x+1/2,y,-z+1/2'
'x+1/2,-y,z+1/2'
'y+1/4,x+3/4,-z+1/4'
'-y+1/4,-x+3/4,z+1/4'
'x+1/2,y+1/2,z+1/2'
'-x+1/2,-y+1/2,-z+1/2'
'-y+3/4,x+1/4,z+3/4'
'y+3/4,-x+1/4,-z+3/4'
'-x,-y+1/2,z'
'x,y+1/2,-z'
'y+3/4,-x+3/4,z+1/4'
'-y+3/4,x+3/4,-z+1/4'
'x+1/2,-y+1/2,-z+1/2'
'-x+1/2,y+1/2,z+1/2'
'-y+3/4,-x+3/4,-z+1/4'
'y+3/4,x+3/4,z+1/4'
'-x,y+1/2,-z'
'x,-y+1/2,z'
'y+3/4,x+1/4,-z+3/4'
'-y+3/4,-x+1/4,z+3/4'
loop_
_atom_site_label
_atom_site_type_symbol
_atom_site_fract_x
_atom_site_fract_y
_atom_site_fract_z
Y1 Y 0.0000 0.0000 0.0000
V1 V 0.0000 0.0814 0.6269
O1 O 0.0000 0.0965 0.2258
```

Main lines, sorted by position (10 to 90 degrees two-theta):
Position (°2θ)	I/Imax	h k l
24.55	35	1 1 2
27.69	100	2 2 0
28.24	34	2 0 2
37.87	53	2 1 3
39.55	23	4 0 0
42.16	24	4 1 1
42.93	36	3 0 3
47.11	21	3 3 2
49.31	30	4 2 2
60.99	20	3 0 5

***

# 7
YVO3: computed X-ray diffraction stick pattern (Cu Kα), based on the PBE+U geometry in the Materials Project.
Intensities are scaled so that the largest is 100.

Atomic structure:
```
data_YVO3
_chemical_formula_sum 'Y2 V2 O6'
_space_group_name_H-M_alt 'P 63/m m c'
_space_group_IT_number 194
_space_group_name_Hall '-P 6c 2c'
_cell_length_a 3.5127
_cell_length_b 3.5127
_cell_length_c 12.4199
_cell_angle_alpha 90.00
_cell_angle_beta 90.00
_cell_angle_gamma 120.00
loop_
_atom_site_label
_atom_site_type_symbol
_atom_site_fract_x
_atom_site_fract_y
_atom_site_fract_z
Y1 Y 0.0000 0.0000 0.0000
V1 V 0.3333 0.6667 0.2500
O1 O 0.0000 0.0000 0.2500
O2 O 0.3333 0.6667 0.0862
```

Main lines, sorted by position (10 to 90 degrees two-theta):
Position (°2θ)	I/Imax	h k l
14.26	22	0 0 2
28.75	56	0 0 4
29.36	35	1 0 0
30.25	53	1 0 1
32.78	100	1 0 2
41.56	51	1 0 4
52.07	52	1 1 0
53.55	38	1 0 6
60.57	37	1 1 4
62.91	16	2 0 2

***

# 8
YVO3: computed X-ray diffraction stick pattern (Cu Kα), based on the PBE+U geometry in the Materials Project.
Intensities are scaled so that the largest is 100.

Atomic structure:
```
data_YVO3
_chemical_formula_sum 'Y1 V1 O3'
_space_group_name_H-M_alt 'P 4/m m m'
_space_group_IT_number 123
_space_group_name_Hall '-P 4 2'
_cell_length_a 3.8630
_cell_length_b 3.8630
_cell_length_c 3.9959
_cell_angle_alpha 90.00
_cell_angle_beta 90.00
_cell_angle_gamma 90.00
loop_
_atom_site_label
_atom_site_type_symbol
_atom_site_fract_x
_atom_site_fract_y
_atom_site_fract_z
Y1 Y 0.0000 0.0000 0.0000
V1 V 0.5000 0.5000 0.5000
O1 O 0.0000 0.5000 0.5000
O2 O 0.5000 0.5000 0.0000
```

Main lines, sorted by position (10 to 90 degrees two-theta):
Position (°2θ)	I/Imax	h k l
32.23	100	1 0 1
32.79	48	1 1 0
39.98	28	1 1 1
45.39	21	0 0 2
47.05	38	2 0 0
57.12	19	1 1 2
58.18	36	2 1 1
67.44	22	2 0 2
68.73	10	2 2 0
86.27	11	2 2 2